The following is a calculated powder XRD pattern of Rb2Mo3PbF12. It was derived from a DFT-relaxed cell (GGA+U, Alexandria), using λ = 1.5418 Å (Cu Kα).

The 10 most intense peaks (2θ from 10° to 90°), sorted by position:
2theta, I (rel.)
13.8, 540
26.3, 205
26.9, 1000
27.7, 618
28.0, 456
29.9, 208
42.1, 326
42.9, 234
45.6, 551
48.4, 294

Structure:
Lattice parameters (Å, degrees): 7.9625 7.9625 17.9299 90.00 90.00 120.00
Space group R-3m (No. 166, hexagonal axes)
Inequivalent atoms, fractional coordinates:
Rb 0.0000 0.0000 0.1170 x6
Mo 0.0000 0.5000 0.0000 x9
Pb 0.0000 0.0000 0.5000 x3
F 0.0249 0.5125 0.8843 x18
F 0.0560 0.5280 0.3352 x18